Record 1
Theoretical X-ray powder pattern
Compound: BaNdV4O12
Radiation: a wavelength of 1.5418 Å
Structure: a PBE+U-relaxed structure
Neutral-atom scattering factors, no anomalous dispersion.

Atomic structure:
Unit cell a=5.4077 b=5.4077 c=7.5988 alpha=90.00 beta=90.00 gamma=90.00
Element x y z (fractional)
Ba 0.0000 0.0000 0.0000
Nd 0.5000 0.5000 0.5000
V 0.0000 0.5000 0.2517
V 0.0000 0.5000 0.7483
V 0.5000 0.0000 0.2517
V 0.5000 0.0000 0.7483
O 0.0000 0.5000 0.0000
O 0.0000 0.5000 0.5000
O 0.2555 0.2555 0.2599
O 0.2555 0.2555 0.7401
O 0.2555 0.7445 0.2599
O 0.2555 0.7445 0.7401
O 0.5000 0.0000 0.0000
O 0.5000 0.0000 0.5000
O 0.7445 0.2555 0.2599
O 0.7445 0.2555 0.7401
O 0.7445 0.7445 0.2599
O 0.7445 0.7445 0.7401

Peak list (6 most intense, 5° ≤ 2θ ≤ 70°, sorted by position)
Position (°2θ), Rel. int.
20.15, 100
33.13, 32
33.24, 63
39.09, 36
47.56, 29
59.26, 24

Record 2
Theoretical X-ray powder pattern
Compound: Ba3NdV3O12
Radiation: a wavelength of 1.5418 Å
Structure: a PBE+U-relaxed structure
Neutral-atom scattering factors, no anomalous dispersion.

Atomic structure:
Unit cell a=11.6860 b=11.6860 c=9.5669 alpha=94.92 beta=94.92 gamma=28.37
Element x y z (fractional)
Ba 0.0000 0.0000 0.0000
Ba 0.0575 0.0575 0.6498
Ba 0.1921 0.1921 0.0083
Ba 0.5159 0.5159 0.3406
Ba 0.6617 0.6617 0.6603
Ba 0.8664 0.8664 0.6427
Nd 0.3686 0.3686 0.0225
Nd 0.7432 0.7432 0.3237
V 0.1345 0.1345 0.3388
V 0.2588 0.2588 0.6407
V 0.4660 0.4660 0.6815
V 0.6018 0.6018 0.9995
V 0.7967 0.7967 0.9944
V 0.9147 0.9147 0.2876
O 0.0037 0.5182 0.5400
O 0.0456 0.5407 0.0992
O 0.0902 0.0902 0.1833
O 0.1702 0.6823 0.1812
O 0.1903 0.1903 0.7077
O 0.2045 0.7106 0.7788
O 0.2075 0.2075 0.2936
O 0.3147 0.3147 0.7836
O 0.3608 0.8744 0.4381
O 0.3625 0.8438 0.8885
O 0.4160 0.4160 0.5376
O 0.5182 0.0037 0.5400
O 0.5343 0.5343 0.0697
O 0.5371 0.5371 0.6202
O 0.5407 0.0456 0.0992
O 0.6657 0.6657 0.1254
O 0.6823 0.1702 0.1812
O 0.7106 0.2045 0.7788
O 0.7415 0.7415 0.8637
O 0.8438 0.3625 0.8885
O 0.8456 0.8456 0.3538
O 0.8651 0.8651 0.9295
O 0.8744 0.3608 0.4381
O 0.9698 0.9698 0.4238

Peak list (6 most intense, 5° ≤ 2θ ≤ 70°, sorted by position)
Position (°2θ), Rel. int.
27.45, 100
28.09, 46
30.36, 81
31.24, 47
42.50, 42
47.43, 26

Record 3
Theoretical X-ray powder pattern
Compound: BaNdVO4
Radiation: a wavelength of 1.5418 Å
Structure: a PBE+U-relaxed structure
Neutral-atom scattering factors, no anomalous dispersion.

Atomic structure:
Unit cell a=6.1279 b=5.9785 c=7.2796 alpha=90.00 beta=108.58 gamma=90.00
Element x y z (fractional)
Ba 0.2156 0.2500 0.4356
Ba 0.7844 0.7500 0.5644
Nd 0.3143 0.2500 0.9611
Nd 0.6857 0.7500 0.0389
V 0.2264 0.7500 0.1720
V 0.7736 0.2500 0.8280
O 0.0145 0.7500 0.9222
O 0.0312 0.7500 0.3303
O 0.4655 0.5203 0.2032
O 0.4655 0.9797 0.2032
O 0.5345 0.0203 0.7968
O 0.5345 0.4797 0.7968
O 0.9688 0.2500 0.6697
O 0.9855 0.2500 0.0778

Peak list (6 most intense, 5° ≤ 2θ ≤ 70°, sorted by position)
Position (°2θ), Rel. int.
21.33, 100
29.61, 45
29.89, 89
36.72, 35
37.45, 40
43.44, 26

Record 4
Theoretical X-ray powder pattern
Compound: BaNdV2O8
Radiation: a wavelength of 1.5418 Å
Structure: a PBE+U-relaxed structure
Neutral-atom scattering factors, no anomalous dispersion.

Atomic structure:
Unit cell a=5.8437 b=5.8437 c=7.8347 alpha=90.00 beta=90.00 gamma=120.00
Element x y z (fractional)
Ba 0.0000 0.0000 0.0000
Nd 0.0000 0.0000 0.5000
V 0.3333 0.6667 0.7776
V 0.6667 0.3333 0.2224
O 0.1692 0.3384 0.7065
O 0.1692 0.8308 0.7065
O 0.3333 0.6667 0.9944
O 0.3384 0.1692 0.2935
O 0.6616 0.8308 0.7065
O 0.6667 0.3333 0.0056
O 0.8308 0.1692 0.2935
O 0.8308 0.6616 0.2935

Peak list (6 most intense, 5° ≤ 2θ ≤ 70°, sorted by position)
Position (°2θ), Rel. int.
17.52, 95
20.90, 43
28.82, 100
30.60, 71
42.53, 50
53.30, 35

Repeat the second record exactly.
Theoretical X-ray powder pattern
Compound: Ba3NdV3O12
Radiation: a wavelength of 1.5418 Å
Structure: a PBE+U-relaxed structure
Neutral-atom scattering factors, no anomalous dispersion.

Atomic structure:
Unit cell a=11.6860 b=11.6860 c=9.5669 alpha=94.92 beta=94.92 gamma=28.37
Element x y z (fractional)
Ba 0.0000 0.0000 0.0000
Ba 0.0575 0.0575 0.6498
Ba 0.1921 0.1921 0.0083
Ba 0.5159 0.5159 0.3406
Ba 0.6617 0.6617 0.6603
Ba 0.8664 0.8664 0.6427
Nd 0.3686 0.3686 0.0225
Nd 0.7432 0.7432 0.3237
V 0.1345 0.1345 0.3388
V 0.2588 0.2588 0.6407
V 0.4660 0.4660 0.6815
V 0.6018 0.6018 0.9995
V 0.7967 0.7967 0.9944
V 0.9147 0.9147 0.2876
O 0.0037 0.5182 0.5400
O 0.0456 0.5407 0.0992
O 0.0902 0.0902 0.1833
O 0.1702 0.6823 0.1812
O 0.1903 0.1903 0.7077
O 0.2045 0.7106 0.7788
O 0.2075 0.2075 0.2936
O 0.3147 0.3147 0.7836
O 0.3608 0.8744 0.4381
O 0.3625 0.8438 0.8885
O 0.4160 0.4160 0.5376
O 0.5182 0.0037 0.5400
O 0.5343 0.5343 0.0697
O 0.5371 0.5371 0.6202
O 0.5407 0.0456 0.0992
O 0.6657 0.6657 0.1254
O 0.6823 0.1702 0.1812
O 0.7106 0.2045 0.7788
O 0.7415 0.7415 0.8637
O 0.8438 0.3625 0.8885
O 0.8456 0.8456 0.3538
O 0.8651 0.8651 0.9295
O 0.8744 0.3608 0.4381
O 0.9698 0.9698 0.4238

Peak list (6 most intense, 5° ≤ 2θ ≤ 70°, sorted by position)
Position (°2θ), Rel. int.
27.45, 100
28.09, 46
30.36, 81
31.24, 47
42.50, 42
47.43, 26